This entry pairs a crystal structure of Pm6POs2Br3 with its simulated XRD peak list. Radiation: Cu Kα (λ = 1.5418 Å). Structure: a structure optimized by DFT (GGA-PBE).

Most intense lines, 2θ from 10° to 90°, most intense first:
29.33 deg, intensity 1000, hkl 2 0 -2; 43.47 deg, intensity 379, hkl 3 3 -1; 40.38 deg, intensity 293, hkl 1 3 -3; 11.66 deg, intensity 264, hkl 0 0 1; 53.31 deg, intensity 185, hkl 2 6 -2; 37.24 deg, intensity 160, hkl 1 3 2; 71.14 deg, intensity 156, hkl 5 3 -3; 60.83 deg, intensity 86, hkl 4 0 -4

Crystal structure
Cell: 7.2103 12.4906 7.9633 Å, 90.00 107.67 90.00°
Space group C2/m (No. 12)
One atom of each set of equivalent atoms:
Pm  0.2213  0.0000  0.1965 [4 per cell]
Pm  0.2366  0.3281  0.1972 [8 per cell]
P  0.0000  0.5000  0.0000 [2 per cell]
Os  0.0000  0.1671  0.0000 [4 per cell]
Br  0.0000  0.0000  0.5000 [2 per cell]
Br  0.0000  0.3367  0.5000 [4 per cell]

=====

This entry pairs a crystal structure of Ta2VGa3 with its simulated XRD peak list. Radiation: Cu Kα (λ = 1.5418 Å). Structure: a structure optimized by DFT (GGA-PBE).

Most intense lines, 2θ from 10° to 90°, most intense first:
39.70 deg, intensity 1000, hkl 0 2 2; 38.00 deg, intensity 962, hkl 3 1 1; 47.92 deg, intensity 459, hkl 3 3 1; 40.16 deg, intensity 447, hkl 0 4 0; 22.30 deg, intensity 330, hkl 1 1 1; 19.77 deg, intensity 242, hkl 0 2 0; 81.26 deg, intensity 242, hkl 6 2 2; 44.52 deg, intensity 215, hkl 3 3 0

Crystal structure
Cell: 8.3248 8.9813 5.2635 Å, 90.00 90.00 90.00°
Space group Cmcm (No. 63)
One atom of each set of equivalent atoms:
Ta  0.1696  0.2346  0.2500 [8 per cell]
V  0.0000  0.2684  0.7500 [4 per cell]
Ga  0.0000  0.0000  0.0000 [4 per cell]
Ga  0.1621  0.5000  0.0000 [8 per cell]

=====

This entry pairs a crystal structure of TbNd2Ho5Th with its simulated XRD peak list. Radiation: Cu Kα (λ = 1.5418 Å). Structure: a structure optimized by DFT (GGA-PBE).

Most intense lines, 2θ from 10° to 90°, most intense first:
32.16 deg, intensity 1000, hkl 1 2 2; 31.85 deg, intensity 410, hkl 2 0 -1; 30.00 deg, intensity 361, hkl 1 3 0; 56.95 deg, intensity 199, hkl 3 2 1; 28.04 deg, intensity 172, hkl 0 1 3; 61.12 deg, intensity 119, hkl 2 5 2; 33.49 deg, intensity 118, hkl 0 4 0; 42.94 deg, intensity 109, hkl 2 1 2

Crystal structure
Cell: 5.6192 10.7022 10.3845 Å, 90.00 105.67 90.00°
Space group P2_1 (No. 4)
One atom of each set of equivalent atoms:
Tb  0.1997  0.0000  0.4003 [2 per cell]
Nd  0.1151  0.3097  0.2301 [2 per cell]
Nd  0.1151  0.7232  0.2306 [2 per cell]
Ho  0.0157  0.0165  0.0314 [2 per cell]
Ho  0.2801  0.3041  0.5596 [2 per cell]
Ho  0.2999  0.6990  0.5998 [2 per cell]
Ho  0.3924  0.0129  0.7845 [2 per cell]
Ho  0.4782  0.7270  0.9565 [2 per cell]
Th  0.4164  0.4442  0.8327 [2 per cell]